[1]
The following is a calculated X-ray powder pattern of Sr2YGaCu2O7. It was derived from DFT lattice parameters and positions (GGA-PBE), using copper Kα.
Kinematic intensities with the Lorentz-polarization factor, no thermal factor.

Crystal structure
Cell: 23.2259 5.5299 5.4211 Å, 90.00 90.00 90.00°
Space group Ima2 (No. 46)
Inequivalent atoms, fractional coordinates:
1 Sr 0.1513 0.0182 0.0000 [8 per cell]
2 Y 0.0000 0.0000 0.9965 [4 per cell]
3 Ga 0.2500 0.5696 0.0361 [4 per cell]
4 Cu 0.0711 0.5009 0.9965 [8 per cell]
5 O 0.0614 0.2487 0.7479 [8 per cell]
6 O 0.0639 0.7492 0.7465 [8 per cell]
7 O 0.1769 0.0446 0.4707 [8 per cell]
8 O 0.2500 0.6157 0.3891 [4 per cell]

The 12 most intense peaks (5° ≤ 2θ ≤ 70°), in order of falling intensity:
Position (°2θ)  I (rel.)  index
32.72  100  6 1 1
46.94  40  0 2 2
33.05  31  0 0 2
38.77  29  10 0 0
32.38  29  0 2 0
58.82  19  6 1 3
7.61  16  2 0 0
57.97  16  6 3 1
62.05  7  8 3 1
68.57  7  12 2 2
58.61  7  12 0 2
58.18  6  12 2 0

---

[2]
The following is a calculated X-ray powder pattern of PaGaCu2. It was derived from DFT lattice parameters and positions (GGA-PBE), using copper Kα.
Kinematic intensities with the Lorentz-polarization factor, no thermal factor.

Crystal structure
Cell: 6.5016 6.5016 6.5016 Å, 90.00 90.00 90.00°
Space group Fm-3m (No. 225)
Inequivalent atoms, fractional coordinates:
1 Pa 0.0000 0.0000 0.0000 [4 per cell]
2 Ga 0.0000 0.0000 0.5000 [4 per cell]
3 Cu 0.2500 0.2500 0.2500 [8 per cell]

The 8 most intense peaks (5° ≤ 2θ ≤ 70°), in order of falling intensity:
Position (°2θ)  I (rel.)  index
39.19  100  2 2 0
23.70  29  1 1 1
56.63  17  4 0 0
27.44  17  2 0 0
46.32  16  3 1 1
64.05  7  4 2 0
62.24  7  3 3 1
48.50  5  2 2 2

---

[3]
The following is a calculated X-ray powder pattern of Pm2GaCu. It was derived from DFT lattice parameters and positions (GGA-PBE), using copper Kα.
Kinematic intensities with the Lorentz-polarization factor, no thermal factor.

Crystal structure
Cell: 7.2631 7.2631 7.2631 Å, 90.00 90.00 90.00°
Space group Fm-3m (No. 225)
Inequivalent atoms, fractional coordinates:
1 Pm 0.2500 0.2500 0.2500 [8 per cell]
2 Ga 0.0000 0.0000 0.0000 [4 per cell]
3 Cu 0.0000 0.0000 0.5000 [4 per cell]

The 6 most intense peaks (5° ≤ 2θ ≤ 70°), in order of falling intensity:
Position (°2θ)  I (rel.)  index
34.94  100  2 2 0
62.66  36  4 2 2
50.25  18  4 0 0
24.51  15  2 0 0
56.68  6  4 2 0
43.15  4  2 2 2

---

[4]
The following is a calculated X-ray powder pattern of PmGaCu2. It was derived from DFT lattice parameters and positions (GGA-PBE), using copper Kα.
Kinematic intensities with the Lorentz-polarization factor, no thermal factor.

Crystal structure
Cell: 6.5746 6.5746 6.5746 Å, 90.00 90.00 90.00°
Space group Fm-3m (No. 225)
Inequivalent atoms, fractional coordinates:
1 Pm 0.0000 0.0000 0.0000 [4 per cell]
2 Ga 0.0000 0.0000 0.5000 [4 per cell]
3 Cu 0.2500 0.2500 0.2500 [8 per cell]

The 8 most intense peaks (5° ≤ 2θ ≤ 70°), in order of falling intensity:
Position (°2θ)  I (rel.)  index
38.74  100  2 2 0
55.94  17  4 0 0
23.44  10  1 1 1
27.13  7  2 0 0
45.77  5  3 1 1
63.25  3  4 2 0
61.48  2  3 3 1
47.93  2  2 2 2

---

[5]
The following is a calculated X-ray powder pattern of GaCuS2. It was derived from DFT lattice parameters and positions (GGA-PBE), using copper Kα.
Kinematic intensities with the Lorentz-polarization factor, no thermal factor.

Crystal structure
Cell: 3.7338 3.7338 17.6921 Å, 90.00 90.00 120.00°
Space group R3m (No. 160, hexagonal axes)
Inequivalent atoms, fractional coordinates:
1 Ga 0.0000 0.0000 0.0000 [3 per cell]
2 Cu 0.0000 0.0000 0.1407 [3 per cell]
3 S 0.0000 0.0000 0.2697 [3 per cell]
4 S 0.0000 0.0000 0.7582 [3 per cell]

The 12 most intense peaks (5° ≤ 2θ ≤ 70°), in order of falling intensity:
Position (°2θ)  I (rel.)  index
28.05  100  1 0 1
48.78  55  1 1 0
49.96  44  0 1 8
45.55  39  1 0 7
37.69  19  0 1 5
30.31  19  0 0 6
34.35  18  1 0 4
29.41  18  0 1 2
58.52  16  1 1 6
15.02  15  0 0 3
57.22  13  0 2 1
68.95  10  0 2 7

---

[6]
The following is a calculated X-ray powder pattern of GaCuS2. It was derived from DFT lattice parameters and positions (GGA-PBE), using copper Kα.
Kinematic intensities with the Lorentz-polarization factor, no thermal factor.

Crystal structure
Cell: 5.3697 5.3697 10.6315 Å, 90.00 90.00 90.00°
Space group I-42d (No. 122)
Inequivalent atoms, fractional coordinates:
1 Ga 0.0000 0.0000 0.0000 [4 per cell]
2 Cu 0.0000 0.0000 0.5000 [4 per cell]
3 S 0.2493 0.7500 0.6250 [8 per cell]

The 8 most intense peaks (5° ≤ 2θ ≤ 70°), in order of falling intensity:
Position (°2θ)  I (rel.)  index
28.90  100  1 1 2
48.18  40  2 0 4
56.93  27  3 1 2
47.92  20  2 2 0
57.39  13  1 1 6
33.37  8  2 0 0
33.72  4  0 0 4
59.87  3  2 2 4